This entry pairs a crystal structure of Cr3Fe2Sb3O16 with its theoretical XRD peak list. Radiation: Cu Ka. Structure: a structure optimized by DFT (PBE+U).
Kinematic intensities with the Lorentz-polarization factor, no thermal factor.

Structure:
Cell lengths 10.483, 6.072, 9.166 Å; angles 90.00, 90.21, 90.00 degrees
Space group Cm (No. 8)
Unique sites:
Cr 0.000 0.000 0.000 [2 per cell]
Cr 0.087 0.251 0.500 [4 per cell]
Fe 0.013 0.500 0.221 [2 per cell]
Fe 0.344 0.500 0.714 [2 per cell]
Sb 0.252 0.252 0.998 [4 per cell]
Sb 0.338 0.000 0.499 [2 per cell]
O 0.003 0.500 0.612 [2 per cell]
O 0.005 0.000 0.598 [2 per cell]
O 0.090 0.250 0.109 [4 per cell]
O 0.145 0.500 0.385 [2 per cell]
O 0.168 0.000 0.889 [2 per cell]
O 0.170 0.000 0.395 [2 per cell]
O 0.187 0.500 0.869 [2 per cell]
O 0.250 0.251 0.607 [4 per cell]
O 0.335 0.000 0.110 [2 per cell]
O 0.335 0.500 0.116 [2 per cell]
O 0.407 0.283 0.873 [4 per cell]
O 0.436 0.216 0.373 [4 per cell]

Principal peaks in the range 5° ≤ 2θ ≤ 70°, by intensity:
- 2θ 19.39, rel. 100, (0 0 2)
- 2θ 35.52, rel. 74, (2 2 -1)
- 2θ 19.51, rel. 69, (2 0 1)
- 2θ 45.53, rel. 45, (2 2 3)
- 2θ 25.80, rel. 40, (2 0 -2)
- 2θ 35.61, rel. 38, (4 0 -1)

This entry pairs a crystal structure of Li9Mn2Co5O16 with its theoretical XRD peak list. Radiation: Cu Ka. Structure: a structure optimized by DFT (PBE+U).
Kinematic intensities with the Lorentz-polarization factor, no thermal factor.

Structure:
Cell lengths 5.167, 5.912, 10.035 Å; angles 87.52, 79.29, 70.59 degrees
Space group P1 (No. 1)
Unique sites:
Li 0.000 0.000 0.000 [1 per cell]
Li 0.000 0.228 0.743 [1 per cell]
Li 0.005 0.480 0.490 [1 per cell]
Li 0.019 0.727 0.238 [1 per cell]
Li 0.492 0.857 0.118 [1 per cell]
Li 0.506 0.113 0.872 [1 per cell]
Li 0.506 0.357 0.117 [1 per cell]
Li 0.510 0.606 0.367 [1 per cell]
Li 0.513 0.356 0.615 [1 per cell]
Mn 0.006 0.735 0.743 [1 per cell]
Mn 0.507 0.604 0.872 [1 per cell]
Co 0.005 0.986 0.489 [1 per cell]
Co 0.006 0.231 0.243 [1 per cell]
Co 0.013 0.480 0.000 [1 per cell]
Co 0.506 0.108 0.366 [1 per cell]
Co 0.506 0.859 0.618 [1 per cell]
O 0.221 0.189 0.064 [1 per cell]
O 0.235 0.680 0.558 [1 per cell]
O 0.238 0.935 0.302 [1 per cell]
O 0.251 0.381 0.302 [1 per cell]
O 0.256 0.449 0.817 [1 per cell]
O 0.263 0.672 0.041 [1 per cell]
O 0.274 0.148 0.547 [1 per cell]
O 0.286 0.908 0.798 [1 per cell]
O 0.727 0.561 0.685 [1 per cell]
O 0.735 0.821 0.439 [1 per cell]
O 0.744 0.315 0.926 [1 per cell]
O 0.753 0.766 0.925 [1 per cell]
O 0.765 0.069 0.199 [1 per cell]
O 0.774 0.031 0.679 [1 per cell]
O 0.780 0.287 0.423 [1 per cell]
O 0.797 0.520 0.178 [1 per cell]

Principal peaks in the range 5° ≤ 2θ ≤ 70°, by intensity:
- 2θ 18.44, rel. 100, (0 1 1)
- 2θ 42.12, rel. 30, (2 2 2)
- 2θ 44.28, rel. 25, (1 0 -4)
- 2θ 44.82, rel. 24, (1 -2 2)
- 2θ 35.04, rel. 16, (2 1 1)
- 2θ 62.76, rel. 15, (3 2 -2)

This entry pairs a crystal structure of Li3VPCO7 with its theoretical XRD peak list. Radiation: Cu Ka. Structure: a structure optimized by DFT (PBE+U).
Kinematic intensities with the Lorentz-polarization factor, no thermal factor.

Structure:
Cell lengths 8.654, 6.510, 9.692 Å; angles 90.00, 91.91, 90.00 degrees
Space group P2_1/c (No. 14)
Unique sites:
Li 0.110 0.241 0.366 [4 per cell]
Li 0.291 0.017 0.127 [4 per cell]
Li 0.371 0.743 0.865 [4 per cell]
V 0.248 0.518 0.137 [4 per cell]
P 0.408 0.239 0.391 [4 per cell]
C 0.054 0.744 0.386 [4 per cell]
O 0.074 0.705 0.256 [4 per cell]
O 0.089 0.229 0.573 [4 per cell]
O 0.167 0.746 0.975 [4 per cell]
O 0.312 0.059 0.329 [4 per cell]
O 0.318 0.063 0.845 [4 per cell]
O 0.409 0.225 0.552 [4 per cell]
O 0.423 0.750 0.156 [4 per cell]

Principal peaks in the range 5° ≤ 2θ ≤ 70°, by intensity:
- 2θ 34.49, rel. 100, (2 2 0)
- 2θ 25.38, rel. 70, (1 1 2)
- 2θ 16.41, rel. 61, (0 1 1)
- 2θ 24.72, rel. 49, (2 1 0)
- 2θ 19.21, rel. 45, (1 1 -1)
- 2θ 19.53, rel. 43, (1 1 1)